The following is a computed powder XRD pattern of La3Mn4AgO12. It was derived from a structure optimized by DFT (PBE+U), using Cu Kα (weighted mean of Kα1 and Kα2).
Kinematic intensities with the Lorentz-polarization factor, no thermal factor.

Most intense lines, 2θ from 15° to 90°, by angle:
h k l, d [Å], Rel. int.
1 1 0, 3.914, 19
0 2 0, 2.782, 32
1 1 -2, 2.772, 65
1 1 2, 2.751, 100
2 0 -2, 2.262, 25
2 2 0, 1.957, 41
0 0 4, 1.947, 20
1 3 -2, 1.604, 15
2 0 -4, 1.599, 34
0 2 4, 1.595, 13

Cell lengths 5.507, 5.563, 7.789 Å; angles 90.00, 90.66, 90.00 degrees
Space group P2 (No. 3)
Asymmetric unit:
La (0.000, 0.000, 0.000) x1
La (0.000, 0.001, 0.500) x1
La (0.500, 0.501, 0.500) x1
Mn (0.001, 0.499, 0.246) x2
Mn (0.498, 0.997, 0.754) x2
Ag (0.500, 0.496, 0.000) x1
O (0.000, 0.442, 0.500) x1
O (0.000, 0.564, 0.000) x1
O (0.210, 0.209, 0.769) x2
O (0.226, 0.775, 0.286) x2
O (0.264, 0.733, 0.705) x2
O (0.274, 0.268, 0.224) x2
O (0.500, 0.061, 0.500) x1
O (0.500, 0.928, 0.000) x1